For KCd4AsP2, a cell relaxed with GGA-PBE gives the simulated powder diffractogram in this record (Cu Kα X-rays).
No peak broadening, texture or thermal motion is included.

Unit cell a=4.4365 b=4.4365 c=36.1061 alpha=90.00 beta=90.00 gamma=120.00
Space group R-3m (No. 166, hexagonal axes)
Asymmetric unit:
K: 0.0000 0.0000 0.0000
Cd: 0.0000 0.0000 0.1998
Cd: 0.0000 0.0000 0.4083
As: 0.0000 0.0000 0.5000
P: 0.0000 0.0000 0.2718

Most intense lines, 15 to 90 degrees two-theta, most intense first:
| 2theta | I (rel.) |
| --- | --- |
| 34.1 | 100.0 |
| 26.3 | 97.6 |
| 40.7 | 86.2 |
| 40.1 | 29.9 |
| 23.3 | 25.7 |
| 56.4 | 25.5 |
| 54.1 | 25.4 |
| 69.8 | 22.8 |
| 49.1 | 17.3 |
| 85.9 | 15.1 |

---

For KZn2Cd2As3, a cell relaxed with GGA-PBE gives the simulated powder diffractogram in this record (Cu Kα X-rays).
No peak broadening, texture or thermal motion is included.

Unit cell a=4.4577 b=4.4577 c=34.8125 alpha=90.00 beta=90.00 gamma=120.00
Space group R-3m (No. 166, hexagonal axes)
Asymmetric unit:
K: 0.0000 0.0000 0.0000
Zn: 0.0000 0.0000 0.1971
Cd: 0.0000 0.0000 0.4155
As: 0.0000 0.0000 0.2689
As: 0.0000 0.0000 0.5000

Most intense lines, 15 to 90 degrees two-theta, most intense first:
| 2theta | I (rel.) |
| --- | --- |
| 40.5 | 100.0 |
| 41.0 | 60.7 |
| 23.2 | 44.3 |
| 34.7 | 40.3 |
| 26.4 | 37.9 |
| 15.3 | 26.0 |
| 25.2 | 25.1 |
| 74.0 | 20.3 |
| 59.0 | 20.2 |
| 51.7 | 17.1 |